The following is a simulated PXRD pattern of YHoAlAu. It was derived from a GGA-PBE-relaxed structure, using Cu Kα.
Intensities are scaled so that the largest is 100.

Structural model:
Lattice parameters (Å, degrees): 3.554 3.554 7.440 90.00 90.00 90.00
Space group P4mm (No. 99)
One atom of each set of equivalent atoms:
Y: 0.000 0.000 0.000 x1
Ho: 0.000 0.000 0.487 x1
Al: 0.500 0.500 0.742 x1
Au: 0.500 0.500 0.252 x1

Most intense lines, 10° ≤ 2θ ≤ 90°, most intense first:
index, 2θ/deg, I/Imax
1 0 2, 34.9, 100
0 0 1, 11.9, 51
1 1 0, 35.7, 47
2 1 2, 63.7, 35
1 0 1, 27.8, 23
1 1 4, 62.1, 18
2 0 0, 51.4, 17
1 1 1, 37.8, 14
1 0 3, 44.5, 12
2 0 4, 73.7, 11

The following is a simulated PXRD pattern of BeHgGe. It was derived from a GGA-PBE-relaxed structure, using Cu Kα.
Intensities are scaled so that the largest is 100.

Structural model:
Lattice parameters (Å, degrees): 3.101 4.172 10.329 85.03 86.77 68.33
Space group P1 (No. 1)
One atom of each set of equivalent atoms:
Be: 0.000 0.000 0.000 x1
Be: 0.167 0.732 0.814 x1
Hg: 0.906 0.427 0.486 x1
Hg: 0.963 0.947 0.257 x1
Ge: 0.713 0.569 0.001 x1
Ge: 0.887 0.308 0.762 x1

Most intense lines, 10° ≤ 2θ ≤ 90°, most intense first:
index, 2θ/deg, I/Imax
1 0 0, 31.0, 100
0 0 4, 34.9, 87
0 1 2, 27.9, 82
0 1 -2, 29.9, 79
0 1 -1, 25.2, 68
0 1 3, 33.7, 53
1 1 -2, 37.1, 50
1 2 0, 46.0, 49
1 1 2, 34.6, 47
0 1 1, 24.0, 46

The following is a simulated PXRD pattern of Ca2Nd8Y3. It was derived from a GGA-PBE-relaxed structure, using Cu Kα.
Intensities are scaled so that the largest is 100.

Structural model:
Lattice parameters (Å, degrees): 6.892 17.921 7.957 90.00 106.96 90.00
Space group P2_1/c (No. 14)
One atom of each set of equivalent atoms:
Ca: 0.168 0.117 0.255 x4
Nd: 0.152 0.115 0.815 x4
Nd: 0.155 0.736 0.049 x4
Nd: 0.371 0.579 0.362 x4
Nd: 0.399 0.573 0.835 x4
Y: 0.000 0.000 0.500 x2
Y: 0.403 0.246 0.588 x4

Most intense lines, 10° ≤ 2θ ≤ 90°, most intense first:
index, 2θ/deg, I/Imax
2 3 0, 31.0, 100
1 4 -2, 30.8, 71
1 1 2, 30.7, 70
0 6 0, 29.9, 35
1 5 -2, 34.4, 29
0 2 2, 25.4, 27
1 2 2, 32.0, 27
1 5 0, 28.3, 21
1 7 2, 47.0, 20
0 3 2, 27.8, 19

The following is a simulated PXRD pattern of LaSbPt4. It was derived from a GGA-PBE-relaxed structure, using Cu Kα.
Intensities are scaled so that the largest is 100.

Structural model:
Lattice parameters (Å, degrees): 7.906 4.151 7.326 90.00 90.00 90.00
Space group Pmma (No. 51)
One atom of each set of equivalent atoms:
La: 0.250 0.000 0.154 x2
Sb: 0.250 0.000 0.733 x2
Pt: 0.000 0.000 0.500 x2
Pt: 0.028 0.500 0.810 x4
Pt: 0.250 0.500 0.462 x2

Most intense lines, 10° ≤ 2θ ≤ 90°, most intense first:
index, 2θ/deg, I/Imax
2 1 2, 40.0, 100
2 1 1, 33.6, 85
0 2 0, 43.6, 38
0 0 3, 36.8, 30
4 0 0, 45.9, 24
0 0 1, 12.1, 20
1 1 2, 34.6, 20
4 2 0, 65.2, 17
0 2 3, 58.3, 16
2 3 2, 77.6, 15

The following is a simulated PXRD pattern of Li7Sn12Bi. It was derived from a GGA-PBE-relaxed structure, using Cu Kα.
Intensities are scaled so that the largest is 100.

Structural model:
Lattice parameters (Å, degrees): 16.7265 16.7265 5.8052 90.00 90.00 120.00
Space group R-3 (No. 148, hexagonal axes)
One atom of each set of equivalent atoms:
Li: 0.0000 0.0000 0.0000 x3
Li: 0.0556 0.1797 0.3372 x18
Sn: 0.0247 0.5982 0.1587 x18
Sn: 0.0635 0.2011 0.8438 x18
Bi: 0.0000 0.0000 0.5000 x3

Most intense lines, 10° ≤ 2θ ≤ 90°, most intense first:
index, 2θ/deg, I/Imax
4 -3 1, 27.0, 100
3 1 2, 38.3, 44
2 5 0, 38.8, 37
6 2 1, 47.9, 18
2 5 3, 62.5, 17
1 9 1, 63.3, 14
8 -6 2, 55.6, 14
5 6 2, 69.9, 11
0 0 3, 46.9, 10
4 -3 4, 68.8, 8

The following is a simulated PXRD pattern of Sr3Cd2Hg5. It was derived from a GGA-PBE-relaxed structure, using Cu Kα.
Intensities are scaled so that the largest is 100.

Structural model:
Lattice parameters (Å, degrees): 11.419 11.419 4.445 90.00 90.00 90.00
Space group P4/mbm (No. 127)
One atom of each set of equivalent atoms:
Sr: 0.000 0.000 0.000 x2
Sr: 0.175 0.325 0.000 x4
Cd: 0.121 0.621 0.000 x4
Hg: 0.000 0.500 0.500 x2
Hg: 0.067 0.795 0.500 x8

Most intense lines, 10° ≤ 2θ ≤ 90°, most intense first:
index, 2θ/deg, I/Imax
3 1 1, 31.9, 100
3 2 1, 34.8, 56
4 1 0, 32.3, 46
0 0 2, 40.6, 29
4 1 2, 52.8, 23
2 1 0, 17.4, 22
2 2 1, 29.9, 19
0 0 1, 20.0, 19
4 0 1, 37.4, 18
5 5 2, 72.3, 16

The following is a simulated PXRD pattern of Ni5PdPt6. It was derived from a GGA-PBE-relaxed structure, using Cu Kα.
Intensities are scaled so that the largest is 100.

Structural model:
Lattice parameters (Å, degrees): 3.866 7.427 11.560 90.00 90.00 90.00
Space group Immm (No. 71)
One atom of each set of equivalent atoms:
Ni: 0.000 0.000 0.000 x2
Ni: 0.000 0.000 0.335 x4
Ni: 0.000 0.500 0.328 x4
Pd: 0.000 0.500 0.000 x2
Pt: 0.000 0.241 0.168 x8
Pt: 0.000 0.265 0.500 x4

Most intense lines, 10° ≤ 2θ ≤ 90°, most intense first:
index, 2θ/deg, I/Imax
1 2 3, 41.0, 100
0 2 0, 24.0, 20
1 0 3, 32.8, 19
2 0 0, 47.0, 17
0 0 6, 47.2, 17
0 4 0, 49.1, 14
3 2 3, 83.2, 13
1 2 9, 83.5, 13
2 0 6, 68.8, 11
2 4 6, 89.0, 11

The following is a simulated PXRD pattern of Li2Ti3NbN6. It was derived from a GGA-PBE-relaxed structure, using Cu Kα.
Intensities are scaled so that the largest is 100.

Structural model:
Lattice parameters (Å, degrees): 5.212 9.012 5.246 90.00 109.21 90.00
Space group C2/m (No. 12)
One atom of each set of equivalent atoms:
Li: 0.000 0.165 0.000 x4
Ti: 0.000 0.000 0.500 x2
Ti: 0.000 0.329 0.500 x4
Nb: 0.000 0.500 0.000 x2
N: 0.234 0.500 0.736 x4
N: 0.250 0.162 0.734 x8

Most intense lines, 10° ≤ 2θ ≤ 90°, most intense first:
index, 2θ/deg, I/Imax
1 3 1, 42.4, 100
2 0 0, 36.6, 42
1 1 0, 20.6, 37
1 1 -1, 23.1, 30
3 3 -1, 61.7, 28
0 0 2, 36.3, 22
0 2 1, 26.7, 21
0 2 0, 19.7, 20
1 3 -3, 61.3, 19
1 1 1, 31.2, 13

The following is a simulated PXRD pattern of CsTl3In3. It was derived from a GGA-PBE-relaxed structure, using Cu Kα.
Intensities are scaled so that the largest is 100.

Structural model:
Lattice parameters (Å, degrees): 7.4354 7.4354 32.5005 90.00 90.00 120.00
Space group R-3 (No. 148, hexagonal axes)
One atom of each set of equivalent atoms:
Cs: 0.0000 0.0000 0.1918 x6
Tl: 0.0148 0.4524 0.2489 x18
In: 0.0492 0.2652 0.6913 x18

Most intense lines, 10° ≤ 2θ ≤ 90°, most intense first:
index, 2θ/deg, I/Imax
2 0 2, 28.3, 100
1 1 9, 34.6, 68
2 1 1, 37.0, 68
0 1 8, 25.9, 66
2 -1 3, 25.3, 53
2 0 8, 35.6, 42
2 -1 6, 29.1, 42
1 0 10, 30.8, 38
0 2 10, 39.4, 37
0 2 4, 29.9, 32

The following is a simulated PXRD pattern of Ho3Mg7Sc. It was derived from a GGA-PBE-relaxed structure, using Cu Kα.
Intensities are scaled so that the largest is 100.

Structural model:
Lattice parameters (Å, degrees): 3.264 22.286 16.040 90.00 90.00 90.00
Space group Cmcm (No. 63)
One atom of each set of equivalent atoms:
Ho: 0.000 0.118 0.036 x8
Ho: 0.000 0.245 0.750 x4
Mg: 0.000 0.263 0.075 x8
Mg: 0.000 0.375 0.159 x8
Mg: 0.000 0.395 0.750 x4
Mg: 0.000 0.494 0.088 x8
Sc: 0.000 0.020 0.750 x4

Most intense lines, 10° ≤ 2θ ≤ 90°, most intense first:
index, 2θ/deg, I/Imax
0 4 2, 19.4, 100
1 1 3, 32.4, 53
1 5 2, 35.9, 40
0 8 0, 32.1, 40
0 0 4, 22.2, 30
0 2 5, 29.0, 28
0 6 5, 37.0, 24
1 3 2, 32.0, 24
0 2 3, 18.4, 23
0 2 2, 13.6, 23

The following is a simulated PXRD pattern of Th4Ru2Pt. It was derived from a GGA-PBE-relaxed structure, using Cu Kα.
Intensities are scaled so that the largest is 100.

Structural model:
Lattice parameters (Å, degrees): 4.043 13.365 13.728 90.00 90.00 90.00
Space group Cmcm (No. 63)
One atom of each set of equivalent atoms:
Th: 0.000 0.000 0.000 x4
Th: 0.000 0.273 0.120 x8
Th: 0.000 0.449 0.750 x4
Ru: 0.000 0.369 0.563 x8
Pt: 0.000 0.111 0.750 x4

Most intense lines, 10° ≤ 2θ ≤ 90°, most intense first:
index, 2θ/deg, I/Imax
1 3 1, 30.6, 100
0 2 4, 29.3, 90
1 3 2, 32.6, 60
0 6 3, 45.3, 51
1 1 5, 40.3, 37
2 0 0, 44.8, 36
1 1 3, 30.2, 34
2 2 4, 54.4, 33
1 5 2, 42.6, 26
1 9 4, 73.3, 21

The following is a simulated PXRD pattern of PrZn5Pd2Pt. It was derived from a GGA-PBE-relaxed structure, using Cu Kα.
Intensities are scaled so that the largest is 100.

Structural model:
Lattice parameters (Å, degrees): 4.836 4.836 7.339 90.00 90.00 90.00
Space group P4/mmm (No. 123)
One atom of each set of equivalent atoms:
Pr: 0.000 0.000 0.000 x1
Zn: 0.000 0.500 0.316 x4
Zn: 0.500 0.500 0.000 x1
Pd: 0.500 0.500 0.320 x2
Pt: 0.000 0.000 0.500 x1

Most intense lines, 10° ≤ 2θ ≤ 90°, most intense first:
index, 2θ/deg, I/Imax
2 0 0, 37.2, 100
1 0 2, 30.6, 65
1 1 2, 35.9, 57
2 1 2, 48.9, 36
1 1 0, 26.1, 35
2 2 0, 53.6, 34
0 0 1, 12.1, 31
2 0 3, 53.3, 21
1 0 3, 41.4, 20
3 1 2, 66.2, 18